For Li5SbPd6, a DFT-relaxed cell (GGA-PBE, Alexandria) gives the computed powder diffraction line list in this record (λ = 1.5418 Å (Cu Kα)).

Structural model:
Lattice parameters (Å, degrees): 4.353 6.097 6.779 90.00 108.21 90.07
Element x y z (fractional)
Li  0.000  0.000  0.000
Li  0.331  0.500  0.660
Li  0.335  0.000  0.671
Li  0.665  0.000  0.329
Li  0.669  0.500  0.340
Sb  0.000  0.500  0.000
Pd  0.169  0.241  0.338
Pd  0.169  0.759  0.338
Pd  0.500  0.242  0.000
Pd  0.500  0.758  0.000
Pd  0.831  0.241  0.662
Pd  0.831  0.759  0.662

Top 10 peaks for 2θ = 10–90°, low angle first:
2θ = 29.1°, I 51
2θ = 29.3°, I 100
2θ = 41.5°, I 48
2θ = 41.8°, I 94
2θ = 42.0°, I 93
2θ = 42.1°, I 46
2θ = 51.6°, I 20
2θ = 52.1°, I 19
2θ = 68.9°, I 16
2θ = 75.7°, I 16

=====

For LiSbPd5, a DFT-relaxed cell (GGA-PBE, Alexandria) gives the computed powder diffraction line list in this record (λ = 1.5418 Å (Cu Kα)).

Structural model:
Lattice parameters (Å, degrees): 4.630 4.630 11.027 90.00 90.00 77.57
Element x y z (fractional)
Li  0.120  0.880  0.750
Li  0.880  0.120  0.250
Sb  0.500  0.500  0.000
Sb  0.500  0.500  0.500
Pd  0.052  0.359  0.616
Pd  0.052  0.359  0.884
Pd  0.359  0.052  0.116
Pd  0.359  0.052  0.384
Pd  0.458  0.542  0.250
Pd  0.542  0.458  0.750
Pd  0.641  0.948  0.616
Pd  0.641  0.948  0.884
Pd  0.948  0.641  0.116
Pd  0.948  0.641  0.384

Top 10 peaks for 2θ = 10–90°, low angle first:
2θ = 19.6°, I 46
2θ = 21.2°, I 27
2θ = 38.2°, I 59
2θ = 39.6°, I 49
2θ = 39.9°, I 37
2θ = 40.6°, I 49
2θ = 40.7°, I 49
2θ = 41.2°, I 100
2θ = 45.4°, I 28
2θ = 71.3°, I 28

=====

For Li2SbPd7, a DFT-relaxed cell (GGA-PBE, Alexandria) gives the computed powder diffraction line list in this record (λ = 1.5418 Å (Cu Kα)).

Structural model:
Lattice parameters (Å, degrees): 6.854 6.854 4.224 90.00 90.00 115.19
Element x y z (fractional)
Li  0.196  0.804  0.000
Li  0.804  0.196  0.000
Sb  0.500  0.500  0.500
Pd  0.000  0.000  0.000
Pd  0.191  0.431  0.000
Pd  0.269  0.731  0.500
Pd  0.431  0.191  0.000
Pd  0.569  0.809  0.000
Pd  0.731  0.269  0.500
Pd  0.809  0.569  0.000

Top 10 peaks for 2θ = 10–90°, low angle first:
2θ = 14.3°, I 55
2θ = 26.1°, I 41
2θ = 32.3°, I 92
2θ = 33.7°, I 36
2θ = 37.7°, I 86
2θ = 39.7°, I 100
2θ = 42.8°, I 59
2θ = 43.4°, I 86
2θ = 46.4°, I 57
2θ = 59.8°, I 59

=====

What is the formula in the third record? Li2SbPd7